1.
Simulated PXRD pattern
Compound: U3Ni3Sn2Sb2
Radiation: Cu Kα, 1.54184 Å
Structure: a DFT-relaxed cell (PBE, Alexandria)

Structural model:
Cell lengths 8.112, 8.112, 8.112 Å; angles 109.47, 109.47, 109.47 degrees
Fractional coordinates of all 20 atoms:
U 0.125 0.875 0.250
U 0.250 0.125 0.875
U 0.375 0.625 0.750
U 0.625 0.750 0.375
U 0.750 0.375 0.625
U 0.875 0.250 0.125
Ni 0.124 0.750 0.874
Ni 0.250 0.626 0.376
Ni 0.376 0.250 0.626
Ni 0.626 0.376 0.250
Ni 0.750 0.874 0.124
Ni 0.874 0.124 0.750
Sn 0.000 0.170 0.500
Sn 0.170 0.500 0.000
Sn 0.330 0.330 0.330
Sn 0.500 0.000 0.170
Sb 0.000 0.666 0.500
Sb 0.500 0.000 0.666
Sb 0.666 0.500 0.000
Sb 0.834 0.834 0.834

Peak list (10 most intense, 10° ≤ 2θ ≤ 90°, sorted by position)
2θ/deg	I (rel.)
23.3	16
30.2	63
35.9	100
43.2	43
45.4	15
47.6	15
61.0	25
62.7	12
64.5	12
74.4	17



2.
Simulated PXRD pattern
Compound: Ta2NiSb
Radiation: Cu Kα, 1.54184 Å
Structure: a DFT-relaxed cell (PBE, Alexandria)

Structural model:
Cell lengths 3.763, 4.122, 8.720 Å; angles 90.00, 90.00, 90.00 degrees
Fractional coordinates of all 8 atoms:
Ta 0.000 0.000 0.248
Ta 0.000 0.000 0.752
Ta 0.500 0.500 0.252
Ta 0.500 0.500 0.748
Ni 0.000 0.500 0.500
Ni 0.500 0.000 0.000
Sb 0.000 0.500 0.000
Sb 0.500 0.000 0.500

Peak list (10 most intense, 10° ≤ 2θ ≤ 90°, sorted by position)
2θ/deg	I (rel.)
20.4	12
38.4	100
41.4	20
43.9	17
48.4	13
62.0	12
73.5	15
77.1	13
82.3	11
83.6	11



3.
Simulated PXRD pattern
Compound: Tb12Ni6Sb
Radiation: Cu Kα, 1.54184 Å
Structure: a DFT-relaxed cell (PBE, Alexandria)

Structural model:
Cell lengths 8.458, 8.458, 8.458 Å; angles 109.47, 109.47, 109.47 degrees
Fractional coordinates of all 19 atoms:
Tb 0.118 0.306 0.812
Tb 0.188 0.494 0.306
Tb 0.188 0.882 0.694
Tb 0.306 0.188 0.494
Tb 0.306 0.812 0.118
Tb 0.494 0.306 0.188
Tb 0.506 0.694 0.812
Tb 0.694 0.188 0.882
Tb 0.694 0.812 0.506
Tb 0.812 0.118 0.306
Tb 0.812 0.506 0.694
Tb 0.882 0.694 0.188
Ni 0.123 0.500 0.623
Ni 0.377 0.877 0.500
Ni 0.500 0.377 0.877
Ni 0.500 0.623 0.123
Ni 0.623 0.123 0.500
Ni 0.877 0.500 0.377
Sb 0.000 0.000 0.000

Peak list (10 most intense, 10° ≤ 2θ ≤ 90°, sorted by position)
2θ/deg	I (rel.)
28.9	44
31.7	38
34.4	100
36.8	14
47.5	21
54.8	34
58.2	35
67.9	17
84.1	16
85.5	17